For Nd5Mg2Sn, DFT lattice parameters and positions (PBE) gives the theoretical XRD peak list in this record (Cu Kα).
Lines closer than 0.1° are merged.

Principal peaks in the range 2θ from 10° to 90°, in order of rising 2θ:
| two_theta | I (rel.) |
| --- | --- |
| 25.1 | 29 |
| 28.0 | 32 |
| 30.1 | 100 |
| 32.1 | 37 |
| 34.8 | 54 |
| 49.5 | 18 |

Structural model:
```
data_Nd5Mg2Sn
_chemical_formula_sum 'Nd10 Mg4 Sn2'
_symmetry_space_group_name_H-M 'P 1'
_symmetry_Int_Tables_number 1
_cell_length_a 9.5864
_cell_length_b 9.5864
_cell_length_c 9.5864
_cell_angle_alpha 129.74
_cell_angle_beta 129.74
_cell_angle_gamma 73.82
loop_
_symmetry_equiv_pos_as_xyz
'x,y,z'
loop_
_atom_site_label
_atom_site_fract_x
_atom_site_fract_y
_atom_site_fract_z
Nd1 0.0000 0.0000 0.0000
Nd2 0.0038 0.5038 0.8250
Nd3 0.1788 0.0038 0.5000
Nd4 0.3212 0.8212 0.8250
Nd5 0.4962 0.3212 0.5000
Nd6 0.5000 0.5000 0.0000
Nd7 0.5038 0.6788 0.5000
Nd8 0.6788 0.1788 0.1750
Nd9 0.8212 0.9962 0.5000
Nd10 0.9962 0.4962 0.1750
Mg1 0.1266 0.3734 0.5000
Mg2 0.3734 0.8734 0.2468
Mg3 0.6266 0.1266 0.7532
Mg4 0.8734 0.6266 0.5000
Sn1 0.2500 0.2500 0.0000
Sn2 0.7500 0.7500 0.0000
```

=====

For Sm3Ni3Bi4, DFT lattice parameters and positions (PBE) gives the theoretical XRD peak list in this record (Cu Kα).
Lines closer than 0.1° are merged.

Principal peaks in the range 2θ from 10° to 90°, in order of rising 2θ:
| two_theta | I (rel.) |
| --- | --- |
| 28.8 | 72 |
| 34.2 | 100 |
| 41.1 | 20 |
| 45.3 | 24 |
| 47.2 | 26 |
| 57.9 | 20 |

Structural model:
```
data_Sm3Ni3Bi4
_chemical_formula_sum 'Sm6 Ni6 Bi8'
_symmetry_space_group_name_H-M 'P 1'
_symmetry_Int_Tables_number 1
_cell_length_a 8.5002
_cell_length_b 8.5002
_cell_length_c 8.5002
_cell_angle_alpha 109.47
_cell_angle_beta 109.47
_cell_angle_gamma 109.47
loop_
_symmetry_equiv_pos_as_xyz
'x,y,z'
loop_
_atom_site_label
_atom_site_fract_x
_atom_site_fract_y
_atom_site_fract_z
Sm1 0.1250 0.8750 0.2500
Sm2 0.2500 0.1250 0.8750
Sm3 0.3750 0.6250 0.7500
Sm4 0.6250 0.7500 0.3750
Sm5 0.7500 0.3750 0.6250
Sm6 0.8750 0.2500 0.1250
Ni1 0.1250 0.7500 0.8750
Ni2 0.2500 0.6250 0.3750
Ni3 0.3750 0.2500 0.6250
Ni4 0.6250 0.3750 0.2500
Ni5 0.7500 0.8750 0.1250
Ni6 0.8750 0.1250 0.7500
Bi1 0.0000 0.1519 0.5000
Bi2 0.0000 0.6519 0.5000
Bi3 0.1519 0.5000 0.0000
Bi4 0.3481 0.3481 0.3481
Bi5 0.5000 0.0000 0.1519
Bi6 0.5000 0.0000 0.6519
Bi7 0.6519 0.5000 0.0000
Bi8 0.8481 0.8481 0.8481
```

=====

For Li2PrAg10, DFT lattice parameters and positions (PBE) gives the theoretical XRD peak list in this record (Cu Kα).
Lines closer than 0.1° are merged.

Principal peaks in the range 2θ from 10° to 90°, in order of rising 2θ:
| two_theta | I (rel.) |
| --- | --- |
| 32.7 | 48 |
| 33.2 | 33 |
| 37.7 | 100 |
| 38.1 | 50 |
| 38.3 | 40 |
| 68.5 | 32 |

Structural model:
```
data_Li2PrAg10
_chemical_formula_sum 'Li2 Pr1 Ag10'
_symmetry_space_group_name_H-M 'P 1'
_symmetry_Int_Tables_number 1
_cell_length_a 9.5426
_cell_length_b 7.3112
_cell_length_c 7.2211
_cell_angle_alpha 82.09
_cell_angle_beta 49.36
_cell_angle_gamma 48.55
loop_
_symmetry_equiv_pos_as_xyz
'x,y,z'
loop_
_atom_site_label
_atom_site_fract_x
_atom_site_fract_y
_atom_site_fract_z
Li1 0.0000 0.5000 0.0000
Li2 0.5000 0.0000 0.5000
Pr1 0.0000 0.0000 0.0000
Ag1 0.0000 0.0000 0.5000
Ag2 0.0060 0.3504 0.6496
Ag3 0.2807 0.4908 0.5092
Ag4 0.3504 0.0060 0.9940
Ag5 0.4908 0.2807 0.7193
Ag6 0.5000 0.5000 0.0000
Ag7 0.5092 0.7193 0.2807
Ag8 0.6496 0.9940 0.0060
Ag9 0.7193 0.5092 0.4908
Ag10 0.9940 0.6496 0.3504
```

=====

For BaTm2ZnO5, DFT lattice parameters and positions (PBE) gives the theoretical XRD peak list in this record (Cu Kα).
Lines closer than 0.1° are merged.

Principal peaks in the range 2θ from 10° to 90°, in order of rising 2θ:
| two_theta | I (rel.) |
| --- | --- |
| 29.7 | 100 |
| 30.7 | 82 |
| 31.4 | 54 |
| 31.7 | 23 |
| 45.2 | 32 |
| 54.8 | 18 |

Structural model:
```
data_BaTm2ZnO5
_chemical_formula_sum 'Ba4 Tm8 Zn4 O20'
_symmetry_space_group_name_H-M 'P 1'
_symmetry_Int_Tables_number 1
_cell_length_a 12.3006
_cell_length_b 5.7015
_cell_length_c 7.0636
_cell_angle_alpha 90.00
_cell_angle_beta 90.00
_cell_angle_gamma 90.00
loop_
_symmetry_equiv_pos_as_xyz
'x,y,z'
loop_
_atom_site_label
_atom_site_fract_x
_atom_site_fract_y
_atom_site_fract_z
Ba1 0.1019 0.2500 0.0782
Ba2 0.3981 0.7500 0.5782
Ba3 0.6019 0.2500 0.4218
Ba4 0.8981 0.7500 0.9218
Tm1 0.0743 0.7500 0.4005
Tm2 0.2082 0.2500 0.6194
Tm3 0.2918 0.7500 0.1194
Tm4 0.4257 0.2500 0.9005
Tm5 0.5743 0.7500 0.0995
Tm6 0.7082 0.2500 0.8806
Tm7 0.7918 0.7500 0.3806
Tm8 0.9257 0.2500 0.5995
Zn1 0.1503 0.7500 0.8085
Zn2 0.3497 0.2500 0.3085
Zn3 0.6503 0.7500 0.6915
Zn4 0.8497 0.2500 0.1915
O1 0.0662 0.0004 0.6614
O2 0.0662 0.4996 0.6614
O3 0.1017 0.7500 0.0792
O4 0.2245 0.5012 0.3612
O5 0.2245 0.9988 0.3612
O6 0.2755 0.0012 0.8612
O7 0.2755 0.4988 0.8612
O8 0.3983 0.2500 0.5792
O9 0.4338 0.9996 0.1614
O10 0.4338 0.5004 0.1614
O11 0.5662 0.0004 0.8386
O12 0.5662 0.4996 0.8386
O13 0.6017 0.7500 0.4208
O14 0.7245 0.5012 0.1388
O15 0.7245 0.9988 0.1388
O16 0.7755 0.0012 0.6388
O17 0.7755 0.4988 0.6388
O18 0.8983 0.2500 0.9208
O19 0.9338 0.9996 0.3386
O20 0.9338 0.5004 0.3386
```

=====

For PrEr2ScIn4, DFT lattice parameters and positions (PBE) gives the theoretical XRD peak list in this record (Cu Kα).
Lines closer than 0.1° are merged.

Principal peaks in the range 2θ from 10° to 90°, in order of rising 2θ:
| two_theta | I (rel.) |
| --- | --- |
| 33.8 | 100 |
| 34.0 | 100 |
| 48.7 | 35 |
| 60.3 | 17 |
| 60.7 | 36 |
| 60.8 | 18 |

Structural model:
```
data_PrEr2ScIn4
_chemical_formula_sum 'Pr1 Er2 Sc1 In4'
_symmetry_space_group_name_H-M 'P 1'
_symmetry_Int_Tables_number 1
_cell_length_a 9.2053
_cell_length_b 9.2053
_cell_length_c 9.2053
_cell_angle_alpha 33.31
_cell_angle_beta 33.31
_cell_angle_gamma 33.31
loop_
_symmetry_equiv_pos_as_xyz
'x,y,z'
loop_
_atom_site_label
_atom_site_fract_x
_atom_site_fract_y
_atom_site_fract_z
Pr1 0.0000 0.0000 0.0000
Er1 0.2488 0.2488 0.2488
Er2 0.7512 0.7512 0.7512
Sc1 0.5000 0.5000 0.5000
In1 0.1282 0.1282 0.1282
In2 0.3789 0.3789 0.3789
In3 0.6211 0.6211 0.6211
In4 0.8718 0.8718 0.8718
```

=====

For Ti2Bi2S7, DFT lattice parameters and positions (PBE) gives the theoretical XRD peak list in this record (Cu Kα).
Lines closer than 0.1° are merged.

Principal peaks in the range 2θ from 10° to 90°, in order of rising 2θ:
| two_theta | I (rel.) |
| --- | --- |
| 21.5 | 100 |
| 23.5 | 48 |
| 26.6 | 50 |
| 29.6 | 48 |
| 32.5 | 46 |
| 37.3 | 79 |

Structural model:
```
data_Ti2Bi2S7
_chemical_formula_sum 'Ti2 Bi2 S7'
_symmetry_space_group_name_H-M 'P 1'
_symmetry_Int_Tables_number 1
_cell_length_a 8.5019
_cell_length_b 8.5019
_cell_length_c 8.5019
_cell_angle_alpha 155.49
_cell_angle_beta 69.39
_cell_angle_gamma 116.24
loop_
_symmetry_equiv_pos_as_xyz
'x,y,z'
loop_
_atom_site_label
_atom_site_fract_x
_atom_site_fract_y
_atom_site_fract_z
Ti1 0.0000 0.0000 0.0000
Ti2 0.6355 0.1355 0.5000
Bi1 0.1195 0.8069 0.3126
Bi2 0.4943 0.8069 0.6874
S1 0.2067 0.7067 0.5000
S2 0.2691 0.0941 0.1750
S3 0.4449 0.5573 0.8876
S4 0.6697 0.5573 0.1124
S5 0.7579 0.3569 0.4010
S6 0.9191 0.0941 0.8250
S7 0.9558 0.3569 0.5990
```